The following is a computed powder diffractogram of Sr3MoN4. It was derived from a PBE-relaxed structure, using CuKα.

Atomic structure:
Cell: 17.9781 10.3716 9.9724 Å, 90.00 97.94 90.00°
Space group C2/c (No. 15)
Inequivalent atoms, fractional coordinates:
Sr 0.0000 0.0145 0.2500 [4 per cell]
Sr 0.0220 0.3390 0.5870 [8 per cell]
Sr 0.1543 0.2342 0.0993 [8 per cell]
Sr 0.1776 0.1275 0.4545 [8 per cell]
Sr 0.1849 0.4644 0.7983 [8 per cell]
Mo 0.0000 0.3343 0.2500 [4 per cell]
Mo 0.1756 0.1482 0.7878 [8 per cell]
N 0.0509 0.2215 0.3777 [8 per cell]
N 0.0651 0.4336 0.1560 [8 per cell]
N 0.0974 0.2540 0.8367 [8 per cell]
N 0.1392 0.0022 0.6910 [8 per cell]
N 0.2343 0.2487 0.6835 [8 per cell]
N 0.2397 0.0946 0.9434 [8 per cell]

Principal peaks in the range 10 to 80 degrees two-theta, most intense first:
29.91 deg, d 2.987, intensity 100.0, (3 3 0); 30.42 deg, d 2.938, intensity 59.0, (3 1 -3); 30.11 deg, d 2.968, intensity 56.4, (6 0 0); 34.02 deg, d 2.635, intensity 50.1, (3 1 3); 32.21 deg, d 2.779, intensity 28.6, (0 2 3); 17.96 deg, d 4.938, intensity 19.7, (0 0 2); 17.21 deg, d 5.151, intensity 19.2, (3 1 0); 23.41 deg, d 3.800, intensity 16.2, (3 1 -2); 28.80 deg, d 3.099, intensity 15.0, (4 0 2); 44.48 deg, d 2.037, intensity 14.2, (0 4 3); 41.86 deg, d 2.158, intensity 14.0, (6 2 -3); 51.24 deg, d 1.783, intensity 13.7, (9 1 -3)